Record 1
Calculated powder XRD pattern
Compound: PaCrHg2O6
Radiation: Cu Ka
Structure: a DFT-relaxed cell (GGA+U, Alexandria)
No peak broadening, texture or thermal motion is included.

Crystal structure
```
data_PaCrHg2O6
_symmetry_space_group_name_H-M 'R -3'
_symmetry_Int_Tables_number 148
_symmetry_space_group_name_Hall '-R 3'
_cell_length_a 5.6553
_cell_length_b 5.6553
_cell_length_c 14.6895
_cell_angle_alpha 90.00
_cell_angle_beta 90.00
_cell_angle_gamma 120.00
loop_
_atom_site_label
_atom_site_type_symbol
_atom_site_fract_x
_atom_site_fract_y
_atom_site_fract_z
Pa1 Pa 0.0000 0.0000 0.0000
Cr1 Cr 0.0000 0.0000 0.5000
Hg1 Hg 0.0000 0.0000 0.2435
O1 O 0.0128 0.6077 0.2462
```

Main lines, in order of rising 2θ (10 to 90 degrees two-theta):
2θ/deg	d_spacing	I (rel.)	h k l
19.10	4.646	23	1 0 1
30.42	2.938	100	1 0 4
31.64	2.828	85	1 1 0
44.47	2.037	44	0 2 4
53.28	1.719	20	0 1 8
55.60	1.653	39	2 1 4
56.36	1.633	24	3 0 0
66.09	1.414	17	2 2 0
72.51	1.304	17	3 -2 8
74.47	1.274	16	4 -3 4

Record 2
Calculated powder XRD pattern
Compound: CrHgS2O8
Radiation: Cu Ka
Structure: a DFT-relaxed cell (GGA+U, Alexandria)
No peak broadening, texture or thermal motion is included.

Crystal structure
```
data_CrHgS2O8
_symmetry_space_group_name_H-M 'C 1 2/m 1'
_symmetry_Int_Tables_number 12
_cell_length_a 8.7140
_cell_length_b 5.3451
_cell_length_c 7.5082
_cell_angle_alpha 90.00
_cell_angle_beta 101.17
_cell_angle_gamma 90.00
loop_
_symmetry_equiv_pos_as_xyz
'x,y,z'
'-x,-y,-z'
'-x,y,-z'
'x,-y,z'
'x+1/2,y+1/2,z'
'-x+1/2,-y+1/2,-z'
'-x+1/2,y+1/2,-z'
'x+1/2,-y+1/2,z'
loop_
_atom_site_label
_atom_site_type_symbol
_atom_site_fract_x
_atom_site_fract_y
_atom_site_fract_z
Cr1 Cr 0.0000 0.0000 0.0000
Hg1 Hg 0.0000 0.0000 0.5000
S1 S 0.1615 0.5000 0.2230
O1 O 0.0593 0.2721 0.2090
O2 O 0.2398 0.0000 0.9118
O3 O 0.2459 0.0000 0.5825
```

Main lines, in order of rising 2θ (10 to 90 degrees two-theta):
2θ/deg	d_spacing	I (rel.)	h k l
12.02	7.366	35	0 0 1
19.59	4.532	90	1 1 0
20.78	4.274	37	2 0 0
21.95	4.050	100	1 1 -1
26.05	3.420	30	2 0 1
29.64	3.014	57	1 1 -2
32.87	2.725	58	1 1 2
33.53	2.673	29	0 2 0
35.71	2.514	61	3 1 0
44.74	2.026	34	4 0 -2

Record 3
Calculated powder XRD pattern
Compound: CrHg5S2O5
Radiation: Cu Ka
Structure: a DFT-relaxed cell (GGA+U, Alexandria)
No peak broadening, texture or thermal motion is included.

Crystal structure
```
data_CrHg5S2O5
_symmetry_space_group_name_H-M 'P -1'
_symmetry_Int_Tables_number 2
_cell_length_a 7.2505
_cell_length_b 8.4581
_cell_length_c 9.6404
_cell_angle_alpha 84.02
_cell_angle_beta 81.00
_cell_angle_gamma 69.58
loop_
_symmetry_equiv_pos_as_xyz
'x,y,z'
'-x,-y,-z'
loop_
_atom_site_label
_atom_site_type_symbol
_atom_site_fract_x
_atom_site_fract_y
_atom_site_fract_z
Cr1 Cr 0.0809 0.3675 0.2950
Hg1 Hg 0.1254 0.7119 0.0375
Hg2 Hg 0.1845 0.8873 0.3449
Hg3 Hg 0.2868 0.1861 0.6489
Hg4 Hg 0.3493 0.4295 0.9222
Hg5 Hg 0.5000 0.0000 0.0000
Hg6 Hg 0.5000 0.5000 0.5000
S1 S 0.0727 0.0543 0.8040
S2 S 0.4197 0.7980 0.5143
O1 O 0.1035 0.2139 0.4235
O2 O 0.1401 0.2808 0.1384
O3 O 0.1575 0.4958 0.6938
O4 O 0.2291 0.4744 0.3064
O5 O 0.4878 0.8192 0.1543
```

Main lines, in order of rising 2θ (10 to 90 degrees two-theta):
2θ/deg	d_spacing	I (rel.)	h k l
14.94	5.929	86	0 1 -1
28.12	3.173	100	2 1 -1
28.41	3.142	31	2 2 1
28.79	3.101	74	2 1 2
29.80	2.998	52	0 1 3
30.15	2.965	30	0 2 -2
30.77	2.905	46	1 2 -2
34.78	2.580	39	0 3 1
36.33	2.473	35	2 0 3
49.71	1.834	31	2 0 -4

Record 4
Calculated powder XRD pattern
Compound: TaCrHgO6
Radiation: Cu Ka
Structure: a DFT-relaxed cell (GGA+U, Alexandria)
No peak broadening, texture or thermal motion is included.

Crystal structure
```
data_TaCrHgO6
_symmetry_space_group_name_H-M 'P 1'
_symmetry_Int_Tables_number 1
_cell_length_a 5.1826
_cell_length_b 5.2436
_cell_length_c 5.3424
_cell_angle_alpha 76.41
_cell_angle_beta 83.21
_cell_angle_gamma 61.40
loop_
_symmetry_equiv_pos_as_xyz
'x,y,z'
loop_
_atom_site_label
_atom_site_type_symbol
_atom_site_fract_x
_atom_site_fract_y
_atom_site_fract_z
Ta1 Ta 0.0000 0.0000 0.0000
Cr1 Cr 0.2898 0.3585 0.0544
Hg1 Hg 0.6345 0.6980 0.5377
O1 O 0.0426 0.6987 0.8228
O2 O 0.0614 0.2428 0.2433
O3 O 0.2769 0.1148 0.8215
O4 O 0.2781 0.6249 0.2298
O5 O 0.6421 0.3520 0.8305
O6 O 0.6500 0.0242 0.2381
```

Main lines, in order of rising 2θ (10 to 90 degrees two-theta):
2θ/deg	d_spacing	I (rel.)	h k l
23.34	3.811	61	0 1 1
23.71	3.753	100	1 1 1
25.95	3.433	65	1 0 1
26.12	3.411	89	1 0 -1
28.77	3.103	54	0 1 -1
29.23	3.055	38	1 1 -1
33.91	2.643	49	1 -1 0
34.90	2.571	45	2 1 0
35.24	2.547	33	1 2 0
43.53	2.079	44	1 2 2

Record 5
Calculated powder XRD pattern
Compound: TlCrHgO4
Radiation: Cu Ka
Structure: a DFT-relaxed cell (GGA+U, Alexandria)
No peak broadening, texture or thermal motion is included.

Crystal structure
```
data_TlCrHgO4
_symmetry_space_group_name_H-M 'P 1 21/m 1'
_symmetry_Int_Tables_number 11
_cell_length_a 6.2590
_cell_length_b 5.8169
_cell_length_c 7.5918
_cell_angle_alpha 90.00
_cell_angle_beta 107.06
_cell_angle_gamma 90.00
loop_
_symmetry_equiv_pos_as_xyz
'x,y,z'
'-x,-y,-z'
'-x,y+1/2,-z'
'x,-y+1/2,z'
loop_
_atom_site_label
_atom_site_type_symbol
_atom_site_fract_x
_atom_site_fract_y
_atom_site_fract_z
Tl1 Tl 0.2383 0.2500 0.4237
Cr1 Cr 0.0430 0.2500 0.8201
Hg1 Hg 0.3932 0.7500 0.9281
O1 O 0.1160 0.0154 0.7181
O2 O 0.1919 0.2500 0.0407
O3 O 0.2298 0.7500 0.2079
```

Main lines, in order of rising 2θ (10 to 90 degrees two-theta):
2θ/deg	d_spacing	I (rel.)	h k l
22.31	3.985	26	1 1 -1
24.68	3.607	62	1 0 -2
26.74	3.334	100	1 1 1
29.13	3.066	28	1 1 -2
30.74	2.908	49	0 2 0
32.69	2.740	30	2 1 -1
33.69	2.661	26	2 1 0
39.78	2.266	45	1 2 -2
40.38	2.234	43	0 1 3
42.59	2.123	22	2 2 -1

Record 6
Calculated powder XRD pattern
Compound: Tl3Cr2HgO8
Radiation: Cu Ka
Structure: a DFT-relaxed cell (GGA+U, Alexandria)
No peak broadening, texture or thermal motion is included.

Crystal structure
```
data_Tl3Cr2HgO8
_symmetry_space_group_name_H-M 'P -3 m 1'
_symmetry_Int_Tables_number 164
_symmetry_space_group_name_Hall '-P 3 2"'
_cell_length_a 6.0511
_cell_length_b 6.0511
_cell_length_c 8.0244
_cell_angle_alpha 90.00
_cell_angle_beta 90.00
_cell_angle_gamma 120.00
loop_
_atom_site_label
_atom_site_type_symbol
_atom_site_fract_x
_atom_site_fract_y
_atom_site_fract_z
Tl1 Tl 0.0000 0.0000 0.0000
Tl2 Tl 0.3333 0.6667 0.6769
Cr1 Cr 0.3333 0.6667 0.2008
Hg1 Hg 0.0000 0.0000 0.5000
O1 O 0.1824 0.3648 0.2718
O2 O 0.3333 0.6667 0.9945
```

Main lines, in order of rising 2θ (10 to 90 degrees two-theta):
2θ/deg	d_spacing	I (rel.)	h k l
20.24	4.388	19	1 0 1
28.01	3.186	100	0 1 2
29.52	3.026	92	1 1 0
41.15	2.194	43	2 0 2
48.60	1.873	22	1 0 4
51.45	1.776	36	1 2 2
52.38	1.747	19	3 0 0
61.27	1.513	14	2 2 0
66.32	1.409	17	2 1 4
68.69	1.367	17	3 1 2